# 1
Starting from a DFT-relaxed cell (PBE+U, the Materials Project), the powder XRD pattern of CoSnO6F6 was calculated for Cu Kα X-rays.

Atomic structure:
```
data_CoSnO6F6
_cell_length_a 7.0802
_cell_length_b 8.4606
_cell_length_c 8.4802
_cell_angle_alpha 98.25
_cell_angle_beta 113.50
_cell_angle_gamma 113.34
_symmetry_space_group_name_H-M 'P 1'
_symmetry_Int_Tables_number 1
_symmetry_space_group_name_Hall 'P 1'
loop_
_atom_site_label
_atom_site_type_symbol
_atom_site_fract_x
_atom_site_fract_y
_atom_site_fract_z
Co1 Co 0.0000 0.0000 0.0000
Co2 Co 0.0000 0.5000 0.5000
Sn1 Sn 0.4992 0.2486 0.7477
Sn2 Sn 0.5008 0.7514 0.2523
O1 O 0.0372 0.8915 0.1700
O2 O 0.0608 0.7368 0.5634
O3 O 0.0657 0.5358 0.7346
O4 O 0.1116 0.2074 0.1809
O5 O 0.2685 0.0189 0.0123
O6 O 0.2961 0.5563 0.5496
O7 O 0.7039 0.4437 0.4504
O8 O 0.7315 0.9811 0.9877
O9 O 0.8884 0.7926 0.8191
O10 O 0.9343 0.4642 0.2654
O11 O 0.9392 0.2632 0.4366
O12 O 0.9628 0.1085 0.8300
F1 F 0.1540 0.1686 0.6597
F2 F 0.1550 0.6718 0.1647
F3 F 0.4228 0.4882 0.2115
F4 F 0.4293 0.2024 0.4861
F5 F 0.4397 0.9886 0.7189
F6 F 0.4522 0.7165 0.9964
F7 F 0.5478 0.2835 0.0036
F8 F 0.5603 0.0114 0.2811
F9 F 0.5707 0.7976 0.5139
F10 F 0.5772 0.5118 0.7885
F11 F 0.8450 0.3282 0.8353
F12 F 0.8460 0.8314 0.3403
```

Peak list (10 most intense, 10 to 90 degrees two-theta, most intense first)
2θ = 21.5°, rel. 100; 2θ = 21.0°, rel. 88; 2θ = 20.2°, rel. 58; 2θ = 34.6°, rel. 38; 2θ = 25.2°, rel. 29; 2θ = 36.4°, rel. 26; 2θ = 41.7°, rel. 25; 2θ = 31.8°, rel. 24; 2θ = 56.2°, rel. 16; 2θ = 27.9°, rel. 15

# 2
Starting from a DFT-relaxed cell (PBE+U, the Materials Project), the powder XRD pattern of Co3PtF6 was calculated for Cu Kα X-rays.

Atomic structure:
```
data_Co3PtF6
_cell_length_a 5.4769
_cell_length_b 6.5970
_cell_length_c 12.1465
_cell_angle_alpha 93.37
_cell_angle_beta 94.01
_cell_angle_gamma 109.84
_symmetry_space_group_name_H-M 'P 1'
_symmetry_Int_Tables_number 1
_symmetry_space_group_name_Hall 'P 1'
loop_
_atom_site_label
_atom_site_type_symbol
_atom_site_fract_x
_atom_site_fract_y
_atom_site_fract_z
Co1 Co 0.0000 0.0000 0.0000
Co2 Co 0.0000 0.5000 0.5000
Co3 Co 0.5000 0.0000 0.0000
Pt1 Pt 0.0000 0.5000 0.0000
F1 F 0.0414 0.2379 0.9173
F2 F 0.0683 0.5369 0.6434
F3 F 0.3327 0.7091 0.9487
F4 F 0.6673 0.2909 0.0513
F5 F 0.9317 0.4631 0.3566
F6 F 0.9586 0.7621 0.0827
```

Peak list (10 most intense, 10 to 90 degrees two-theta, most intense first)
2θ = 14.7°, rel. 100; 2θ = 17.3°, rel. 37; 2θ = 18.3°, rel. 32; 2θ = 23.8°, rel. 29; 2θ = 22.1°, rel. 21; 2θ = 35.0°, rel. 19; 2θ = 14.3°, rel. 18; 2θ = 31.4°, rel. 14; 2θ = 28.9°, rel. 13; 2θ = 21.6°, rel. 12

# 3
Starting from a DFT-relaxed cell (PBE+U, the Materials Project), the powder XRD pattern of CoPtF6 was calculated for Cu Kα X-rays.

Atomic structure:
```
data_CoPtF6
_cell_length_a 5.4826
_cell_length_b 5.4826
_cell_length_c 5.4826
_cell_angle_alpha 56.53
_cell_angle_beta 56.53
_cell_angle_gamma 56.53
_symmetry_space_group_name_H-M 'P 1'
_symmetry_Int_Tables_number 1
_symmetry_space_group_name_Hall 'P 1'
loop_
_atom_site_label
_atom_site_type_symbol
_atom_site_fract_x
_atom_site_fract_y
_atom_site_fract_z
Co1 Co 0.0000 0.0000 0.0000
Pt1 Pt 0.5000 0.5000 0.5000
F1 F 0.1212 0.3868 0.7468
F2 F 0.2532 0.8788 0.6132
F3 F 0.3868 0.7468 0.1212
F4 F 0.6132 0.2532 0.8788
F5 F 0.7468 0.1212 0.3868
F6 F 0.8788 0.6132 0.2532
```

Peak list (10 most intense, 10 to 90 degrees two-theta, most intense first)
2θ = 23.6°, rel. 100; 2θ = 32.8°, rel. 35; 2θ = 20.8°, rel. 31; 2θ = 53.3°, rel. 28; 2θ = 34.5°, rel. 20; 2θ = 39.9°, rel. 18; 2θ = 55.7°, rel. 17; 2θ = 48.3°, rel. 16; 2θ = 42.3°, rel. 15; 2θ = 60.8°, rel. 13

# 4
Starting from a DFT-relaxed cell (PBE+U, the Materials Project), the powder XRD pattern of Rb3CoF6 was calculated for Cu Kα X-rays.

Atomic structure:
```
data_Rb3CoF6
_cell_length_a 6.4906
_cell_length_b 6.4906
_cell_length_c 6.4906
_cell_angle_alpha 60.00
_cell_angle_beta 60.00
_cell_angle_gamma 60.00
_symmetry_space_group_name_H-M 'P 1'
_symmetry_Int_Tables_number 1
_symmetry_space_group_name_Hall 'P 1'
loop_
_atom_site_label
_atom_site_type_symbol
_atom_site_fract_x
_atom_site_fract_y
_atom_site_fract_z
Rb1 Rb 0.0000 0.0000 0.0000
Rb2 Rb 0.2500 0.2500 0.2500
Rb3 Rb 0.7500 0.7500 0.7500
Co1 Co 0.5000 0.5000 0.5000
F1 F 0.2887 0.2887 0.7113
F2 F 0.2887 0.7113 0.2887
F3 F 0.2887 0.7113 0.7113
F4 F 0.7113 0.2887 0.2887
F5 F 0.7113 0.2887 0.7113
F6 F 0.7113 0.7113 0.2887
```

Peak list (10 most intense, 10 to 90 degrees two-theta, most intense first)
2θ = 27.5°, rel. 100; 2θ = 39.3°, rel. 40; 2θ = 48.6°, rel. 37; 2θ = 56.7°, rel. 23; 2θ = 77.9°, rel. 22; 2θ = 64.2°, rel. 21; 2θ = 33.8°, rel. 8; 2θ = 71.2°, rel. 7; 2θ = 84.4°, rel. 3; 2θ = 42.9°, rel. 3

# 5
Starting from a DFT-relaxed cell (PBE+U, the Materials Project), the powder XRD pattern of Rb2CoF4 was calculated for Cu Kα X-rays.

Atomic structure:
```
data_Rb2CoF4
_cell_length_a 7.5488
_cell_length_b 7.5488
_cell_length_c 7.5488
_cell_angle_alpha 147.67
_cell_angle_beta 147.67
_cell_angle_gamma 46.38
_symmetry_space_group_name_H-M 'P 1'
_symmetry_Int_Tables_number 1
_symmetry_space_group_name_Hall 'P 1'
loop_
_atom_site_label
_atom_site_type_symbol
_atom_site_fract_x
_atom_site_fract_y
_atom_site_fract_z
Rb1 Rb 0.1452 0.1452 0.0000
Rb2 Rb 0.8548 0.8548 0.0000
Co1 Co 0.5000 0.5000 0.0000
F1 F 0.0000 0.5000 0.5000
F2 F 0.3533 0.3533 0.0000
F3 F 0.5000 0.0000 0.5000
F4 F 0.6467 0.6467 0.0000
```

Peak list (10 most intense, 10 to 90 degrees two-theta, most intense first)
2θ = 28.7°, rel. 100; 2θ = 30.1°, rel. 73; 2θ = 43.0°, rel. 46; 2θ = 52.5°, rel. 37; 2θ = 39.9°, rel. 31; 2θ = 38.9°, rel. 29; 2θ = 59.4°, rel. 25; 2θ = 50.0°, rel. 18; 2θ = 62.5°, rel. 14; 2θ = 12.8°, rel. 13

# 6
Starting from a DFT-relaxed cell (PBE+U, the Materials Project), the powder XRD pattern of Rb2TlCoF6 was calculated for Cu Kα X-rays.

Atomic structure:
```
data_Rb2TlCoF6
_cell_length_a 6.4467
_cell_length_b 6.4467
_cell_length_c 6.4467
_cell_angle_alpha 60.00
_cell_angle_beta 60.00
_cell_angle_gamma 60.00
_symmetry_space_group_name_H-M 'P 1'
_symmetry_Int_Tables_number 1
_symmetry_space_group_name_Hall 'P 1'
loop_
_atom_site_label
_atom_site_type_symbol
_atom_site_fract_x
_atom_site_fract_y
_atom_site_fract_z
Rb1 Rb 0.2500 0.2500 0.2500
Rb2 Rb 0.7500 0.7500 0.7500
Tl1 Tl 0.0000 0.0000 0.0000
Co1 Co 0.5000 0.5000 0.5000
F1 F 0.2850 0.2850 0.7150
F2 F 0.2850 0.7150 0.2850
F3 F 0.2850 0.7150 0.7150
F4 F 0.7150 0.2850 0.2850
F5 F 0.7150 0.2850 0.7150
F6 F 0.7150 0.7150 0.2850
```

Peak list (10 most intense, 10 to 90 degrees two-theta, most intense first)
2θ = 27.7°, rel. 100; 2θ = 48.9°, rel. 39; 2θ = 39.5°, rel. 34; 2θ = 78.5°, rel. 22; 2θ = 57.2°, rel. 21; 2θ = 64.7°, rel. 20; 2θ = 32.6°, rel. 17; 2θ = 16.8°, rel. 15; 2θ = 19.5°, rel. 13; 2θ = 43.3°, rel. 12

# 7
Starting from a DFT-relaxed cell (PBE+U, the Materials Project), the powder XRD pattern of Sr5Co3F19 was calculated for Cu Kα X-rays.

Atomic structure:
```
data_Sr5Co3F19
_cell_length_a 10.8986
_cell_length_b 10.8986
_cell_length_c 10.8986
_cell_angle_alpha 96.67
_cell_angle_beta 96.67
_cell_angle_gamma 140.16
_symmetry_space_group_name_H-M 'P 1'
_symmetry_Int_Tables_number 1
_symmetry_space_group_name_Hall 'P 1'
loop_
_atom_site_label
_atom_site_type_symbol
_atom_site_fract_x
_atom_site_fract_y
_atom_site_fract_z
Sr1 Sr 0.0494 0.2211 0.2705
Sr2 Sr 0.2211 0.9506 0.1717
Sr3 Sr 0.2500 0.7500 0.5000
Sr4 Sr 0.2514 0.4246 0.6760
Sr5 Sr 0.4246 0.7486 0.1732
Sr6 Sr 0.5754 0.2514 0.8268
Sr7 Sr 0.7486 0.5754 0.3240
Sr8 Sr 0.7500 0.2500 0.5000
Sr9 Sr 0.7789 0.0494 0.8283
Sr10 Sr 0.9506 0.7789 0.7295
Co1 Co 0.1766 0.6603 0.8369
Co2 Co 0.2530 0.2530 0.0000
Co3 Co 0.3397 0.1766 0.5163
Co4 Co 0.6603 0.8234 0.4837
Co5 Co 0.7470 0.7470 0.0000
Co6 Co 0.8234 0.3397 0.1631
F1 F 0.0000 0.0000 0.0000
F2 F 0.0788 0.3829 0.4617
F3 F 0.0808 0.4243 0.8548
F4 F 0.0949 0.4797 0.2148
F5 F 0.1084 0.5468 0.6552
F6 F 0.1152 0.1877 0.8269
F7 F 0.1199 0.9051 0.3849
F8 F 0.1877 0.3607 0.0725
F9 F 0.2260 0.0808 0.6565
F10 F 0.2298 0.2442 0.4740
F11 F 0.2442 0.7702 0.0143
F12 F 0.2650 0.8801 0.7852
F13 F 0.2883 0.1152 0.9275
F14 F 0.3607 0.2883 0.1731
F15 F 0.3829 0.9212 0.3041
F16 F 0.4243 0.5695 0.3435
F17 F 0.4305 0.7740 0.8548
F18 F 0.4532 0.1084 0.5617
F19 F 0.4797 0.2650 0.3849
F20 F 0.5000 0.5000 0.0000
F21 F 0.5203 0.7350 0.6151
F22 F 0.5468 0.8916 0.4383
F23 F 0.5695 0.2260 0.1452
F24 F 0.5757 0.4305 0.6565
F25 F 0.6171 0.0788 0.6959
F26 F 0.6393 0.7117 0.8269
F27 F 0.7117 0.8848 0.0725
F28 F 0.7350 0.1199 0.2148
F29 F 0.7558 0.2298 0.9857
F30 F 0.7702 0.7558 0.5260
F31 F 0.7740 0.9192 0.3435
F32 F 0.8123 0.6393 0.9275
F33 F 0.8801 0.0949 0.6151
F34 F 0.8848 0.8123 0.1731
F35 F 0.8916 0.4532 0.3448
F36 F 0.9051 0.5203 0.7852
F37 F 0.9192 0.5757 0.1452
F38 F 0.9212 0.6171 0.5383
```

Peak list (10 most intense, 10 to 90 degrees two-theta, most intense first)
2θ = 28.1°, rel. 100; 2θ = 27.5°, rel. 67; 2θ = 27.0°, rel. 57; 2θ = 44.8°, rel. 56; 2θ = 29.7°, rel. 43; 2θ = 25.2°, rel. 39; 2θ = 24.6°, rel. 31; 2θ = 51.7°, rel. 27; 2θ = 43.8°, rel. 26; 2θ = 49.1°, rel. 25

# 8
Starting from a DFT-relaxed cell (PBE+U, the Materials Project), the powder XRD pattern of Zr3CoF6 was calculated for Cu Kα X-rays.

Atomic structure:
```
data_Zr3CoF6
_cell_length_a 5.2411
_cell_length_b 5.3248
_cell_length_c 5.4836
_cell_angle_alpha 98.74
_cell_angle_beta 98.03
_cell_angle_gamma 97.06
_symmetry_space_group_name_H-M 'P 1'
_symmetry_Int_Tables_number 1
_symmetry_space_group_name_Hall 'P 1'
loop_
_atom_site_label
_atom_site_type_symbol
_atom_site_fract_x
_atom_site_fract_y
_atom_site_fract_z
Zr1 Zr 0.0000 0.0000 0.0000
Zr2 Zr 0.0000 0.5000 0.5000
Zr3 Zr 0.5000 0.0000 0.5000
Co1 Co 0.0000 0.0000 0.5000
F1 F 0.1260 0.6407 0.8869
F2 F 0.3552 0.6056 0.3681
F3 F 0.3943 0.1242 0.1508
F4 F 0.6057 0.8758 0.8492
F5 F 0.6448 0.3944 0.6319
F6 F 0.8740 0.3593 0.1131
```

Peak list (10 most intense, 10 to 90 degrees two-theta, most intense first)
2θ = 35.0°, rel. 100; 2θ = 33.5°, rel. 74; 2θ = 34.5°, rel. 73; 2θ = 16.6°, rel. 64; 2θ = 17.0°, rel. 58; 2θ = 17.3°, rel. 57; 2θ = 36.3°, rel. 55; 2θ = 27.7°, rel. 38; 2θ = 28.0°, rel. 37; 2θ = 28.1°, rel. 36

# 9
Starting from a DFT-relaxed cell (PBE+U, the Materials Project), the powder XRD pattern of Zr3CoF6 was calculated for Cu Kα X-rays.

Atomic structure:
```
data_Zr3CoF6
_cell_length_a 5.9489
_cell_length_b 7.4605
_cell_length_c 12.2013
_cell_angle_alpha 97.12
_cell_angle_beta 93.82
_cell_angle_gamma 111.32
_symmetry_space_group_name_H-M 'P 1'
_symmetry_Int_Tables_number 1
_symmetry_space_group_name_Hall 'P 1'
loop_
_atom_site_label
_atom_site_type_symbol
_atom_site_fract_x
_atom_site_fract_y
_atom_site_fract_z
Zr1 Zr 0.0000 0.0000 0.0000
Zr2 Zr 0.0000 0.5000 0.5000
Zr3 Zr 0.5000 0.0000 0.0000
Co1 Co 0.0000 0.5000 0.0000
F1 F 0.0678 0.5286 0.6620
F2 F 0.0887 0.2652 0.9503
F3 F 0.3429 0.7075 0.9864
F4 F 0.6571 0.2925 0.0136
F5 F 0.9113 0.7348 0.0497
F6 F 0.9322 0.4714 0.3380
```

Peak list (10 most intense, 10 to 90 degrees two-theta, most intense first)
2θ = 14.7°, rel. 100; 2θ = 13.8°, rel. 36; 2θ = 15.9°, rel. 27; 2θ = 16.1°, rel. 22; 2θ = 16.4°, rel. 21; 2θ = 22.2°, rel. 21; 2θ = 29.7°, rel. 15; 2θ = 26.0°, rel. 15; 2θ = 32.5°, rel. 13; 2θ = 30.6°, rel. 13

# 10
Starting from a DFT-relaxed cell (PBE+U, the Materials Project), the powder XRD pattern of Fe2Co3H4Se6O20 was calculated for Cu Kα X-rays.

Atomic structure:
```
data_Fe2Co3H4Se6O20
_cell_length_a 6.5840
_cell_length_b 8.1271
_cell_length_c 9.0445
_cell_angle_alpha 85.87
_cell_angle_beta 78.72
_cell_angle_gamma 76.25
_symmetry_space_group_name_H-M 'P 1'
_symmetry_Int_Tables_number 1
_symmetry_space_group_name_Hall 'P 1'
loop_
_atom_site_label
_atom_site_type_symbol
_atom_site_fract_x
_atom_site_fract_y
_atom_site_fract_z
Fe1 Fe 0.1357 0.3974 0.1179
Fe2 Fe 0.8643 0.6026 0.8821
Co1 Co 0.3141 0.6777 0.2651
Co2 Co 0.5000 0.0000 0.0000
Co3 Co 0.6859 0.3223 0.7349
H1 H 0.1462 0.6372 0.5600
H2 H 0.3205 0.4652 0.5359
H3 H 0.6795 0.5348 0.4641
H4 H 0.8538 0.3628 0.4400
Se1 Se 0.2006 0.2147 0.7755
Se2 Se 0.2358 0.0779 0.3655
Se3 Se 0.3306 0.7091 0.8711
Se4 Se 0.6694 0.2909 0.1289
Se5 Se 0.7642 0.9221 0.6345
Se6 Se 0.7994 0.7853 0.2245
O1 O 0.0239 0.6182 0.2336
O2 O 0.0565 0.2474 0.2895
O3 O 0.1371 0.9068 0.3468
O4 O 0.1691 0.5618 0.9304
O5 O 0.2343 0.2049 0.9671
O6 O 0.2639 0.5739 0.4851
O7 O 0.3297 0.7995 0.0369
O8 O 0.3971 0.3083 0.6838
O9 O 0.4169 0.4314 0.1619
O10 O 0.4586 0.0589 0.2229
O11 O 0.5414 0.9411 0.7771
O12 O 0.5831 0.5686 0.8381
O13 O 0.6029 0.6917 0.3162
O14 O 0.6703 0.2005 0.9631
O15 O 0.7361 0.4261 0.5149
O16 O 0.7657 0.7951 0.0329
O17 O 0.8309 0.4382 0.0696
O18 O 0.8629 0.0932 0.6532
O19 O 0.9435 0.7526 0.7105
O20 O 0.9761 0.3818 0.7664
```

Peak list (10 most intense, 10 to 90 degrees two-theta, most intense first)
2θ = 29.9°, rel. 100; 2θ = 32.6°, rel. 93; 2θ = 33.0°, rel. 54; 2θ = 23.3°, rel. 46; 2θ = 28.4°, rel. 43; 2θ = 30.4°, rel. 42; 2θ = 26.7°, rel. 41; 2θ = 15.2°, rel. 41; 2θ = 20.0°, rel. 40; 2θ = 28.1°, rel. 37

Which formula does entry 7 have?
Sr5Co3F19

Please write out number 5 again, unchanged.
Starting from a DFT-relaxed cell (PBE+U, the Materials Project), the powder XRD pattern of Rb2CoF4 was calculated for Cu Kα X-rays.

Atomic structure:
```
data_Rb2CoF4
_cell_length_a 7.5488
_cell_length_b 7.5488
_cell_length_c 7.5488
_cell_angle_alpha 147.67
_cell_angle_beta 147.67
_cell_angle_gamma 46.38
_symmetry_space_group_name_H-M 'P 1'
_symmetry_Int_Tables_number 1
_symmetry_space_group_name_Hall 'P 1'
loop_
_atom_site_label
_atom_site_type_symbol
_atom_site_fract_x
_atom_site_fract_y
_atom_site_fract_z
Rb1 Rb 0.1452 0.1452 0.0000
Rb2 Rb 0.8548 0.8548 0.0000
Co1 Co 0.5000 0.5000 0.0000
F1 F 0.0000 0.5000 0.5000
F2 F 0.3533 0.3533 0.0000
F3 F 0.5000 0.0000 0.5000
F4 F 0.6467 0.6467 0.0000
```

Peak list (10 most intense, 10 to 90 degrees two-theta, most intense first)
2θ = 28.7°, rel. 100; 2θ = 30.1°, rel. 73; 2θ = 43.0°, rel. 46; 2θ = 52.5°, rel. 37; 2θ = 39.9°, rel. 31; 2θ = 38.9°, rel. 29; 2θ = 59.4°, rel. 25; 2θ = 50.0°, rel. 18; 2θ = 62.5°, rel. 14; 2θ = 12.8°, rel. 13

Repeat the sixth record exactly.
Starting from a DFT-relaxed cell (PBE+U, the Materials Project), the powder XRD pattern of Rb2TlCoF6 was calculated for Cu Kα X-rays.

Atomic structure:
```
data_Rb2TlCoF6
_cell_length_a 6.4467
_cell_length_b 6.4467
_cell_length_c 6.4467
_cell_angle_alpha 60.00
_cell_angle_beta 60.00
_cell_angle_gamma 60.00
_symmetry_space_group_name_H-M 'P 1'
_symmetry_Int_Tables_number 1
_symmetry_space_group_name_Hall 'P 1'
loop_
_atom_site_label
_atom_site_type_symbol
_atom_site_fract_x
_atom_site_fract_y
_atom_site_fract_z
Rb1 Rb 0.2500 0.2500 0.2500
Rb2 Rb 0.7500 0.7500 0.7500
Tl1 Tl 0.0000 0.0000 0.0000
Co1 Co 0.5000 0.5000 0.5000
F1 F 0.2850 0.2850 0.7150
F2 F 0.2850 0.7150 0.2850
F3 F 0.2850 0.7150 0.7150
F4 F 0.7150 0.2850 0.2850
F5 F 0.7150 0.2850 0.7150
F6 F 0.7150 0.7150 0.2850
```

Peak list (10 most intense, 10 to 90 degrees two-theta, most intense first)
2θ = 27.7°, rel. 100; 2θ = 48.9°, rel. 39; 2θ = 39.5°, rel. 34; 2θ = 78.5°, rel. 22; 2θ = 57.2°, rel. 21; 2θ = 64.7°, rel. 20; 2θ = 32.6°, rel. 17; 2θ = 16.8°, rel. 15; 2θ = 19.5°, rel. 13; 2θ = 43.3°, rel. 12